Simulated X-ray powder pattern
Compound: Pm5Tl3Ga
Radiation: Cu Kα X-rays
Structure: a crystal structure in Alexandria, relaxed with PBE

Structure:
Cell: 9.5374 9.5374 6.6997 Å, 90.00 90.00 120.00°
Atoms (fractional coordinates):
Pm1 0.0000 0.2702 0.2500
Pm2 0.0000 0.7298 0.7500
Pm3 0.2702 0.0000 0.2500
Pm4 0.2702 0.2702 0.7500
Pm5 0.3333 0.6667 0.0000
Pm6 0.3333 0.6667 0.5000
Pm7 0.6667 0.3333 0.0000
Pm8 0.6667 0.3333 0.5000
Pm9 0.7298 0.0000 0.7500
Pm10 0.7298 0.7298 0.2500
Tl1 0.0000 0.3796 0.7500
Tl2 0.0000 0.6204 0.2500
Tl3 0.3796 0.0000 0.7500
Tl4 0.3796 0.3796 0.2500
Tl5 0.6204 0.0000 0.2500
Tl6 0.6204 0.6204 0.7500
Ga1 0.0000 0.0000 0.0000
Ga2 0.0000 0.0000 0.5000

Top 12 peaks for 10° ≤ 2θ ≤ 90°, sorted by position:
- (0 0 2), 2θ = 26.61°, d = 3.350 Å, intensity 19
- (2 1 1), 2θ = 31.62°, d = 2.830 Å, intensity 68
- (3 0 0), 2θ = 32.52°, d = 2.753 Å, intensity 87
- (1 1 2), 2θ = 32.67°, d = 2.741 Å, intensity 100
- (3 1 1), 2θ = 41.67°, d = 2.168 Å, intensity 21
- (2 2 2), 2θ = 46.76°, d = 1.943 Å, intensity 26
- (3 2 1), 2θ = 50.02°, d = 1.823 Å, intensity 12
- (2 1 3), 2θ = 50.23°, d = 1.816 Å, intensity 19
- (3 3 0), 2θ = 58.09°, d = 1.588 Å, intensity 21
- (4 2 1), 2θ = 60.94°, d = 1.520 Å, intensity 15
- (5 1 1), 2θ = 64.32°, d = 1.448 Å, intensity 12
- (3 0 4), 2θ = 65.20°, d = 1.431 Å, intensity 24